[1]
Starting from a DFT-relaxed cell (PBE, the Materials Project), the powder X-ray diffraction pattern of ZrSi3Pd3 was computed for Cu Kα, 1.54184 Å.

```
ZrSi3Pd3
1.0
1.926 -7.867 0.000
1.926 7.867 0.000
0.000 0.000 7.132
Zr Si Pd
2 6 6
direct
0.011 0.989 0.750
0.989 0.011 0.250
0.262 0.738 0.750
0.426 0.574 0.532
0.426 0.574 0.968
0.574 0.426 0.032
0.574 0.426 0.468
0.738 0.262 0.250
0.175 0.825 0.053
0.175 0.825 0.447
0.340 0.660 0.250
0.660 0.340 0.750
0.825 0.175 0.553
0.825 0.175 0.947
```

Top 10 peaks for 2θ = 10–90°, in order of falling intensity:
2θ (°)  Rel. int.
38.45  100
39.06  31
39.60  25
47.20  24
34.19  24
26.91  23
36.89  21
11.25  19
63.26  12
64.06  12

[2]
Starting from a DFT-relaxed cell (PBE, the Materials Project), the powder X-ray diffraction pattern of Sm3Pd was computed for Cu Kα, 1.54184 Å.

```
Sm3Pd
1.0
4.471 0.000 0.000
0.000 4.471 0.000
0.000 0.000 10.970
Sm Pd
6 2
direct
0.000 0.000 0.000
0.000 0.500 0.250
0.000 0.500 0.750
0.500 0.000 0.250
0.500 0.000 0.750
0.500 0.500 0.500
0.000 0.000 0.500
0.500 0.500 0.000
```

Top 10 peaks for 2θ = 10–90°, in order of falling intensity:
2θ (°)  Rel. int.
32.68  100
58.32  23
40.34  22
52.83  21
68.53  19
87.15  13
68.49  12
82.53  6
21.46  1
16.16  1

[3]
Starting from a DFT-relaxed cell (PBE, the Materials Project), the powder X-ray diffraction pattern of Sm7Pd3 was computed for Cu Kα, 1.54184 Å.

```
Sm7Pd3
1.0
5.058 -8.723 0.000
5.058 8.723 0.000
0.000 0.000 6.455
Sm Pd
14 6
direct
0.038 0.575 0.501
0.038 0.962 0.500
0.167 0.833 0.997
0.247 0.374 0.700
0.373 0.627 0.200
0.374 0.247 0.200
0.425 0.962 0.501
0.575 0.038 0.001
0.626 0.753 0.700
0.627 0.373 0.700
0.753 0.626 0.200
0.833 0.167 0.497
0.962 0.038 0.000
0.962 0.425 0.001
0.122 0.311 0.256
0.311 0.122 0.756
0.311 0.689 0.756
0.689 0.311 0.256
0.689 0.878 0.256
0.878 0.689 0.756
```

Top 10 peaks for 2θ = 10–90°, in order of falling intensity:
2θ (°)  Rel. int.
30.39  100
33.75  58
34.54  54
29.50  46
35.61  31
52.89  27
54.30  16
53.86  16
35.49  16
39.01  14

[4]
Starting from a DFT-relaxed cell (PBE, the Materials Project), the powder X-ray diffraction pattern of SmPd2 was computed for Cu Kα, 1.54184 Å.

```
SmPd2
1.0
3.947 0.000 0.000
0.000 3.947 0.000
0.000 0.000 8.738
Sm Pd
2 4
direct
0.000 0.000 0.000
0.500 0.500 0.500
0.000 0.500 0.250
0.000 0.500 0.750
0.500 0.000 0.250
0.500 0.000 0.750
```

Top 10 peaks for 2θ = 10–90°, in order of falling intensity:
2θ (°)  Rel. int.
38.26  100
24.75  52
45.98  30
79.93  25
63.53  22
41.33  20
38.41  17
73.32  14
52.91  13
81.91  11

[5]
Starting from a DFT-relaxed cell (PBE, the Materials Project), the powder X-ray diffraction pattern of Sm3Pd was computed for Cu Kα, 1.54184 Å.

```
Sm3Pd
1.0
4.791 0.000 0.000
0.000 4.791 0.000
0.000 0.000 4.791
Sm Pd
3 1
direct
0.000 0.000 0.500
0.000 0.500 0.000
0.500 0.000 0.000
0.500 0.500 0.500
```

Top 10 peaks for 2θ = 10–90°, in order of falling intensity:
2θ (°)  Rel. int.
32.36  100
37.54  50
64.50  41
54.14  35
89.07  18
67.75  12
80.12  6
18.52  2
26.30  1
42.17  1

[6]
Starting from a DFT-relaxed cell (PBE, the Materials Project), the powder X-ray diffraction pattern of SmSnPd was computed for Cu Kα, 1.54184 Å.

```
SmSnPd
1.0
7.405 0.000 0.000
0.000 4.709 0.000
0.000 0.000 8.020
Sm Sn Pd
4 4 4
direct
0.010 0.250 0.205
0.490 0.750 0.705
0.510 0.250 0.295
0.990 0.750 0.795
0.192 0.250 0.587
0.308 0.750 0.087
0.692 0.250 0.913
0.808 0.750 0.413
0.203 0.750 0.417
0.297 0.250 0.917
0.703 0.750 0.083
0.797 0.250 0.583
```

Top 10 peaks for 2θ = 10–90°, in order of falling intensity:
2θ (°)  Rel. int.
32.73  100
38.20  69
38.73  62
31.70  42
32.93  40
62.89  24
51.32  23
55.11  18
70.70  15
65.65  13

[7]
Starting from a DFT-relaxed cell (PBE, the Materials Project), the powder X-ray diffraction pattern of Sn3Pd was computed for Cu Kα, 1.54184 Å.

```
Sn3Pd
1.0
8.740 -3.286 0.000
8.740 3.286 0.000
0.000 0.000 6.600
Sn Pd
12 4
direct
0.003 0.662 0.170
0.160 0.840 0.838
0.162 0.503 0.670
0.338 0.997 0.170
0.340 0.660 0.338
0.497 0.838 0.670
0.503 0.162 0.330
0.660 0.340 0.662
0.662 0.003 0.830
0.838 0.497 0.330
0.840 0.160 0.162
0.997 0.338 0.830
0.085 0.085 0.500
0.415 0.415 0.000
0.585 0.585 0.000
0.915 0.915 0.500
```

Top 10 peaks for 2θ = 10–90°, in order of falling intensity:
2θ (°)  Rel. int.
34.08  100
32.07  92
41.38  67
43.70  36
36.83  34
43.85  30
30.69  28
65.83  24
56.76  23
59.94  23

[8]
Starting from a DFT-relaxed cell (PBE, the Materials Project), the powder X-ray diffraction pattern of Sn2Pd was computed for Cu Kα, 1.54184 Å.

```
Sn2Pd
1.0
-3.301 3.301 12.403
3.301 -3.301 12.403
3.301 3.301 -12.403
Sn Pd
16 8
direct
0.002 0.750 0.752
0.034 0.784 0.567
0.216 0.284 0.250
0.250 0.002 0.752
0.250 0.502 0.252
0.284 0.534 0.067
0.466 0.034 0.750
0.498 0.250 0.748
0.502 0.750 0.252
0.534 0.966 0.250
0.716 0.466 0.933
0.750 0.498 0.748
0.750 0.998 0.248
0.784 0.716 0.750
0.966 0.216 0.433
0.998 0.250 0.248
0.067 0.817 0.250
0.183 0.933 0.250
0.317 0.567 0.750
0.433 0.683 0.750
0.567 0.317 0.250
0.683 0.433 0.250
0.817 0.067 0.750
0.933 0.183 0.750
```

Top 10 peaks for 2θ = 10–90°, in order of falling intensity:
2θ (°)  Rel. int.
39.89  100
28.83  45
38.57  45
43.98  42
30.49  22
32.19  21
41.21  20
70.68  18
30.68  18
64.94  18

[9]
Starting from a DFT-relaxed cell (PBE, the Materials Project), the powder X-ray diffraction pattern of SnPd3 was computed for Cu Kα, 1.54184 Å.

```
SnPd3
1.0
3.085 0.000 0.000
-1.543 2.672 0.000
0.000 0.000 25.477
Sn Pd
3 9
direct
0.000 0.000 0.000
0.333 0.667 0.667
0.667 0.333 0.333
0.000 0.000 0.252
0.000 0.000 0.500
0.000 0.000 0.748
0.333 0.667 0.167
0.333 0.667 0.415
0.333 0.667 0.919
0.667 0.333 0.081
0.667 0.333 0.585
0.667 0.333 0.833
```

Top 10 peaks for 2θ = 10–90°, in order of falling intensity:
2θ (°)  Rel. int.
36.46  100
44.25  58
59.96  23
76.30  23
42.58  21
68.61  15
72.25  13
77.47  11
84.20  9
10.42  1

[10]
Starting from a DFT-relaxed cell (PBE, the Materials Project), the powder X-ray diffraction pattern of SnPd3 was computed for Cu Kα, 1.54184 Å.

```
SnPd3
1.0
4.047 0.000 0.000
0.000 4.047 0.000
0.000 0.000 4.047
Sn Pd
1 3
direct
0.000 0.000 0.000
0.000 0.500 0.500
0.500 0.000 0.500
0.500 0.500 0.000
```

Top 5 peaks for 2θ = 10–90°, in order of falling intensity:
2θ (°)  Rel. int.
38.53  100
44.79  49
78.37  38
65.21  32
82.59  11

[11]
Starting from a DFT-relaxed cell (PBE, the Materials Project), the powder X-ray diffraction pattern of SnPd2 was computed for Cu Kα, 1.54184 Å.

```
SnPd2
1.0
5.728 0.000 0.000
0.000 4.330 0.000
0.000 0.000 8.389
Sn Pd
4 8
direct
0.202 0.250 0.107
0.298 0.750 0.607
0.702 0.250 0.393
0.798 0.750 0.893
0.047 0.250 0.784
0.174 0.250 0.432
0.326 0.750 0.932
0.453 0.750 0.284
0.547 0.250 0.716
0.674 0.250 0.068
0.826 0.750 0.568
0.953 0.750 0.216
```

Top 10 peaks for 2θ = 10–90°, in order of falling intensity:
2θ (°)  Rel. int.
38.32  100
39.21  64
37.66  56
41.72  50
45.32  26
38.04  24
63.29  19
41.55  17
73.89  15
57.73  14